Record 1
Cs3Ge2Sb2: computed X-ray powder pattern (λ = 1.5418 Å (Cu Kα)), based on a DFT-relaxed cell (GGA-PBE, Alexandria).

Largest 6 diffraction maxima, in order of rising 2θ, 10° ≤ 2θ ≤ 80°:
- (0 2 3), 24.86 deg, rel. 64.8
- (2 1 0), 25.91 deg, rel. 52.3
- (1 1 4), 27.73 deg, rel. 100.0
- (1 3 0), 29.35 deg, rel. 87.8
- (1 3 1), 29.94 deg, rel. 62.0
- (2 1 3), 31.35 deg, rel. 57.8

Structure:
```
data_Cs3Ge2Sb2
_chemical_formula_sum 'Cs12 Ge8 Sb8'
_cell_length_a 7.321
_cell_length_b 10.037
_cell_length_c 15.335
_cell_angle_alpha 90.00
_cell_angle_beta 90.00
_cell_angle_gamma 90.00
_symmetry_space_group_name_H-M 'P b c m'
_symmetry_Int_Tables_number 57
_symmetry_space_group_name_Hall '-P 2c 2b'
loop_
_atom_site_label
_atom_site_fract_x
_atom_site_fract_y
_atom_site_fract_z
Cs1 0.123 0.129 0.110
Cs2 0.284 0.699 0.750
Ge1 0.368 0.035 0.575
Sb1 0.270 0.060 0.750
Sb2 0.410 0.750 0.000
```

---

Record 2
Sc2ZnNiPt2: computed X-ray powder pattern (λ = 1.5418 Å (Cu Kα)), based on a DFT-relaxed cell (GGA-PBE, Alexandria).

Largest 6 diffraction maxima, in order of rising 2θ, 10° ≤ 2θ ≤ 80°:
- (1 2 1), 26.55 deg, rel. 100.0
- (0 0 2), 33.10 deg, rel. 33.7
- (0 4 2), 42.22 deg, rel. 91.6
- (1 6 1), 45.54 deg, rel. 41.4
- (2 0 2), 47.52 deg, rel. 40.2
- (1 2 3), 55.25 deg, rel. 28.4

Structure:
```
data_Sc2ZnNiPt2
_chemical_formula_sum 'Sc8 Zn4 Ni4 Pt8'
_cell_length_a 5.412
_cell_length_b 13.996
_cell_length_c 5.412
_cell_angle_alpha 90.00
_cell_angle_beta 90.00
_cell_angle_gamma 90.00
_symmetry_space_group_name_H-M 'I b a m'
_symmetry_Int_Tables_number 72
_symmetry_space_group_name_Hall '-I 2 2c'
loop_
_atom_site_label
_atom_site_fract_x
_atom_site_fract_y
_atom_site_fract_z
Sc1 0.246 0.175 0.000
Zn1 0.000 0.000 0.250
Ni1 0.000 0.500 0.250
Pt1 0.246 0.371 0.000
```

---

Record 3
Ac2CdNi3As4: computed X-ray powder pattern (λ = 1.5418 Å (Cu Kα)), based on a DFT-relaxed cell (GGA-PBE, Alexandria).

Largest 6 diffraction maxima, in order of rising 2θ, 10° ≤ 2θ ≤ 80°:
- (1 0 1), 21.97 deg, rel. 25.2
- (1 0 3), 33.34 deg, rel. 57.5
- (1 1 2), 33.72 deg, rel. 100.0
- (2 0 0), 40.94 deg, rel. 63.2
- (2 1 3), 53.77 deg, rel. 30.0
- (2 2 0), 59.28 deg, rel. 24.3

Structure:
```
data_Ac2CdNi3As4
_chemical_formula_sum 'Ac2 Cd1 Ni3 As4'
_cell_length_a 4.410
_cell_length_b 4.410
_cell_length_c 10.169
_cell_angle_alpha 90.00
_cell_angle_beta 90.00
_cell_angle_gamma 90.00
_symmetry_space_group_name_H-M 'P -4 m 2'
_symmetry_Int_Tables_number 115
_symmetry_space_group_name_Hall 'P -4 -2'
loop_
_atom_site_label
_atom_site_fract_x
_atom_site_fract_y
_atom_site_fract_z
Ac1 0.000 0.500 0.236
Cd1 0.000 0.000 0.500
Ni1 0.000 0.500 0.896
Ni2 0.500 0.500 0.500
As1 0.000 0.000 0.000
As2 0.000 0.500 0.653
As3 0.500 0.500 0.000
```